The following is a computed XRD peak list of ZrH6NOF5. It was derived from a DFT-relaxed cell (GGA-PBE, the Materials Project), using Cu Kα (weighted mean of Kα1 and Kα2).

Principal peaks in the range 10° ≤ 2θ ≤ 90°, in order of rising 2θ:
(0 1 1), 14.38 deg, d 6.161, I = 100
(0 0 2), 16.89 deg, d 5.250, I = 24
(1 1 0), 18.29 deg, d 4.851, I = 10
(2 0 -2), 26.55 deg, d 3.357, I = 21
(1 2 -1), 26.94 deg, d 3.310, I = 8
(0 1 3), 28.06 deg, d 3.180, I = 11
(2 0 0), 28.35 deg, d 3.148, I = 8
(2 1 -1), 28.65 deg, d 3.116, I = 9
(0 3 2), 39.46 deg, d 2.284, I = 9
(1 1 -5), 41.21 deg, d 2.191, I = 8
(1 0 4), 42.25 deg, d 2.139, I = 8
(0 4 3), 54.91 deg, d 1.672, I = 8

Cell and atoms:
Lattice parameters (Å, degrees): 6.872 7.608 11.459 90.00 113.61 90.00
Space group P2_1/c (No. 14)
Symmetry-distinct sites (fractional):
Zr (0.221, 0.058, 0.456)
H (0.002, 0.158, 0.192)
H (0.037, 0.046, 0.807)
H (0.323, 0.652, 0.566)
H (0.334, 0.566, 0.705)
H (0.384, 0.064, 0.106)
H (0.443, 0.102, 0.818)
N (0.400, 0.565, 0.639)
O (0.071, 0.047, 0.235)
F (0.104, 0.598, 0.088)
F (0.192, 0.703, 0.899)
F (0.213, 0.183, 0.889)
F (0.308, 0.208, 0.616)
F (0.489, 0.071, 0.403)